[1]
The following is a computed X-ray diffraction stick pattern of SrEr2RuN4. It was derived from a cell relaxed with PBE, using Cu Kα (λ = 1.5418 Å).
No peak broadening, texture or thermal motion is included.

The 6 most intense peaks (2θ from 10° to 80°), in order of rising 2θ:
| two_theta | I_rel |
| --- | --- |
| 27.35 | 27.7 |
| 30.18 | 58.8 |
| 30.52 | 43.6 |
| 31.00 | 100.0 |
| 37.87 | 97.7 |
| 43.45 | 28.9 |

Atomic structure:
```
SrEr2RuN4
1.0
1.7265 -5.9225 0.0000
1.7265 5.9225 0.0000
0.0000 0.0000 11.7172
Sr Er Ru N
2 4 2 8
Direct
0.1088 0.8912 0.7500
0.8912 0.1088 0.2500
0.3689 0.6311 0.5374
0.3689 0.6311 0.9626
0.6311 0.3689 0.0374
0.6311 0.3689 0.4626
0.1567 0.8433 0.2500
0.8433 0.1567 0.7500
0.0000 0.0000 0.0000
0.0000 0.0000 0.5000
0.2574 0.7426 0.1177
0.2574 0.7426 0.3823
0.4206 0.5794 0.7500
0.5794 0.4206 0.2500
0.7426 0.2574 0.6177
0.7426 0.2574 0.8823
```

[2]
The following is a computed X-ray diffraction stick pattern of Zn2Si. It was derived from a cell relaxed with PBE, using Cu Kα (λ = 1.5418 Å).
No peak broadening, texture or thermal motion is included.

The 6 most intense peaks (2θ from 10° to 80°), in order of rising 2θ:
| two_theta | I_rel |
| --- | --- |
| 25.61 | 13.3 |
| 35.38 | 100.0 |
| 45.15 | 47.1 |
| 56.21 | 18.3 |
| 58.63 | 21.5 |
| 76.94 | 18.1 |

Atomic structure:
```
Zn2Si
1.0
6.9567 0.0000 0.0000
-3.4784 6.0247 0.0000
0.0000 0.0000 3.7092
Zn Si
6 3
Direct
0.0000 0.3405 0.2181
0.0000 0.6595 0.7819
0.3405 0.0000 0.2181
0.3405 0.3405 0.7819
0.6595 0.0000 0.7819
0.6595 0.6595 0.2181
0.0000 0.0000 0.0000
0.3333 0.6667 0.5000
0.6667 0.3333 0.5000
```

[3]
The following is a computed X-ray diffraction stick pattern of Pm2I2N. It was derived from a cell relaxed with PBE, using Cu Kα (λ = 1.5418 Å).
No peak broadening, texture or thermal motion is included.

The 6 most intense peaks (2θ from 10° to 80°), in order of rising 2θ:
| two_theta | I_rel |
| --- | --- |
| 26.57 | 78.9 |
| 31.57 | 51.9 |
| 32.08 | 100.0 |
| 33.22 | 61.8 |
| 38.09 | 29.7 |
| 46.69 | 58.3 |

Atomic structure:
```
Pm2I2N
1.0
6.7386 0.0000 0.0000
0.0000 3.8917 0.0000
-2.5168 0.0000 11.8114
Pm I N
4 4 2
Direct
0.2087 0.0000 0.1123
0.2913 0.5000 0.8877
0.7087 0.5000 0.1123
0.7913 0.0000 0.8877
0.0546 0.0000 0.6997
0.4454 0.5000 0.3003
0.5546 0.5000 0.6997
0.9454 0.0000 0.3003
0.0000 0.5000 0.0000
0.5000 0.0000 0.0000
```

[4]
The following is a computed X-ray diffraction stick pattern of Cu9PdPt2. It was derived from a cell relaxed with PBE, using Cu Kα (λ = 1.5418 Å).
No peak broadening, texture or thermal motion is included.

The 6 most intense peaks (2θ from 10° to 80°), in order of rising 2θ:
| two_theta | I_rel |
| --- | --- |
| 23.89 | 21.0 |
| 34.04 | 17.2 |
| 42.01 | 100.0 |
| 48.91 | 47.7 |
| 55.14 | 9.4 |
| 71.66 | 28.9 |

Atomic structure:
```
Cu9PdPt2
1.0
3.7242 0.0000 0.0000
0.0000 3.7242 0.0000
0.0000 0.0000 11.1775
Cu Pd Pt
9 1 2
Direct
0.0000 0.0000 0.0000
0.0000 0.0000 0.3331
0.0000 0.0000 0.6669
0.0000 0.5000 0.1665
0.0000 0.5000 0.5000
0.0000 0.5000 0.8335
0.5000 0.0000 0.1665
0.5000 0.0000 0.5000
0.5000 0.0000 0.8335
0.5000 0.5000 0.0000
0.5000 0.5000 0.3331
0.5000 0.5000 0.6669
```

[5]
The following is a computed X-ray diffraction stick pattern of ScFeSb. It was derived from a cell relaxed with PBE, using Cu Kα (λ = 1.5418 Å).
No peak broadening, texture or thermal motion is included.

The 6 most intense peaks (2θ from 10° to 80°), in order of rising 2θ:
| two_theta | I_rel |
| --- | --- |
| 26.60 | 24.9 |
| 26.97 | 59.3 |
| 35.73 | 86.3 |
| 41.14 | 100.0 |
| 47.20 | 43.1 |
| 49.67 | 27.0 |

Atomic structure:
```
ScFeSb
1.0
4.3880 0.0000 0.0000
-2.1940 3.8001 0.0000
0.0000 0.0000 6.7016
Sc Fe Sb
2 2 2
Direct
0.0000 0.0000 0.0000
0.0000 0.0000 0.5000
0.3333 0.6667 0.3268
0.6667 0.3333 0.8268
0.3333 0.6667 0.7301
0.6667 0.3333 0.2301
```

[6]
The following is a computed X-ray diffraction stick pattern of Nd2Ge6Pd. It was derived from a cell relaxed with PBE, using Cu Kα (λ = 1.5418 Å).
No peak broadening, texture or thermal motion is included.

The 6 most intense peaks (2θ from 10° to 80°), in order of rising 2θ:
| two_theta | I_rel |
| --- | --- |
| 32.08 | 34.8 |
| 32.77 | 100.0 |
| 42.51 | 19.2 |
| 43.08 | 24.4 |
| 44.06 | 22.9 |
| 63.32 | 15.3 |

Atomic structure:
```
Nd2Ge6Pd
1.0
4.1996 0.0000 0.0000
0.0000 2.0555 11.1818
0.0000 -2.0555 11.1818
Nd Ge Pd
2 6 1
Direct
0.0000 0.0000 0.0000
0.0000 0.3375 0.3375
0.0000 0.6210 0.6210
0.0000 0.7332 0.7332
0.5000 0.1228 0.1228
0.5000 0.2351 0.2351
0.5000 0.4486 0.4486
0.5000 0.8797 0.8797
0.5000 0.5591 0.5591
```